No. 1
Diffraction record for SnAu17. The powder X-ray diffraction pattern is simulated, not measured: it uses DFT lattice parameters and positions (GGA-PBE) and CuKα.
Intensities are scaled so that the largest is 100.

The 10 most intense peaks (2θ = 5–70°), low angle first:
- 2θ = 5.30°, rel. 100.0
- 2θ = 34.99°, rel. 27.8
- 2θ = 37.32°, rel. 24.6
- 2θ = 37.43°, rel. 47.8
- 2θ = 37.78°, rel. 22.9
- 2θ = 38.22°, rel. 24.3
- 2θ = 38.33°, rel. 44.6
- 2θ = 43.53°, rel. 67.2
- 2θ = 62.34°, rel. 15.0
- 2θ = 64.19°, rel. 20.0

Structural model:
```
SnAu17
1.0
5.0311 0.0000 0.0000
0.0000 5.7927 0.0000
-0.0695 0.0000 33.3349
Sn Au
2 34
direct
0.1668 0.2500 0.3068
0.8332 0.7500 0.6932
0.0000 0.0000 0.0000
0.0000 0.5000 0.0000
0.0012 0.0024 0.2211
0.0012 0.4976 0.2211
0.1658 0.2500 0.8524
0.1672 0.2500 0.0738
0.1669 0.7500 0.0736
0.1680 0.7500 0.2959
0.1678 0.7500 0.8530
0.3329 0.0014 0.7035
0.3325 0.0007 0.9264
0.3329 0.4986 0.7035
0.3325 0.4993 0.9264
0.3336 0.0000 0.1471
0.3336 0.5000 0.1471
0.4977 0.2500 0.2215
0.4985 0.2500 0.7797
0.5000 0.2500 0.0003
0.5000 0.7500 0.9997
0.5015 0.7500 0.2203
0.5023 0.7500 0.7785
0.6664 0.0000 0.8529
0.6664 0.5000 0.8529
0.6675 0.5007 0.0736
0.6671 0.5014 0.2965
0.6675 0.9993 0.0736
0.6671 0.9986 0.2965
0.8322 0.2500 0.1470
0.8320 0.2500 0.7041
0.8331 0.2500 0.9264
0.8328 0.7500 0.9262
0.8342 0.7500 0.1476
0.9988 0.5024 0.7789
0.9988 0.9976 0.7789
```

No. 2
Diffraction record for BaScCuSe3. The powder X-ray diffraction pattern is simulated, not measured: it uses DFT lattice parameters and positions (GGA-PBE) and CuKα.
Intensities are scaled so that the largest is 100.

The 10 most intense peaks (2θ = 5–70°), low angle first:
- 2θ = 17.02°, rel. 26.8
- 2θ = 29.56°, rel. 51.2
- 2θ = 30.23°, rel. 26.0
- 2θ = 30.69°, rel. 100.0
- 2θ = 31.29°, rel. 67.6
- 2θ = 35.02°, rel. 25.6
- 2θ = 35.43°, rel. 30.9
- 2θ = 36.43°, rel. 26.3
- 2θ = 44.52°, rel. 44.2
- 2θ = 50.18°, rel. 34.3

Structural model:
```
BaScCuSe3
1.0
8.4429 0.0000 0.0000
0.0000 4.0699 0.0000
-2.8644 0.0000 8.8684
Ba Sc Cu Se
2 2 2 6
direct
0.2109 0.2500 0.2572
0.7891 0.7500 0.7428
0.3212 0.7500 0.8443
0.6788 0.2500 0.1557
0.0810 0.2500 0.5919
0.9190 0.7500 0.4081
0.1094 0.2500 0.8638
0.2317 0.7500 0.5407
0.4561 0.7500 0.1513
0.5439 0.2500 0.8487
0.7683 0.2500 0.4593
0.8906 0.7500 0.1362
```

No. 3
Diffraction record for Hf3CdCu4. The powder X-ray diffraction pattern is simulated, not measured: it uses DFT lattice parameters and positions (GGA-PBE) and CuKα.
Intensities are scaled so that the largest is 100.

The 10 most intense peaks (2θ = 5–70°), low angle first:
- 2θ = 26.92°, rel. 100.0
- 2θ = 31.12°, rel. 9.3
- 2θ = 31.31°, rel. 4.6
- 2θ = 44.59°, rel. 22.0
- 2θ = 44.73°, rel. 43.5
- 2θ = 52.86°, rel. 30.8
- 2θ = 53.10°, rel. 15.2
- 2θ = 55.49°, rel. 3.9
- 2θ = 64.89°, rel. 7.0
- 2θ = 65.32°, rel. 3.4

Structural model:
```
Hf3CdCu4
1.0
-2.8739 2.8739 5.7144
2.8739 -2.8739 5.7144
2.8739 2.8739 -5.7144
Hf Cd Cu
3 1 4
direct
0.0000 0.0000 0.0000
0.2500 0.7500 0.5000
0.7500 0.2500 0.5000
0.5000 0.5000 0.0000
0.1343 0.1343 0.5115
0.3772 0.8657 0.0000
0.6228 0.6228 0.4885
0.8657 0.3772 0.0000
```

No. 4
Diffraction record for Ho2SiO4. The powder X-ray diffraction pattern is simulated, not measured: it uses DFT lattice parameters and positions (GGA-PBE) and CuKα.
Intensities are scaled so that the largest is 100.

The 10 most intense peaks (2θ = 5–70°), low angle first:
- 2θ = 16.58°, rel. 27.4
- 2θ = 23.39°, rel. 34.8
- 2θ = 28.58°, rel. 75.2
- 2θ = 29.97°, rel. 100.0
- 2θ = 31.24°, rel. 82.9
- 2θ = 32.92°, rel. 94.8
- 2θ = 35.44°, rel. 46.6
- 2θ = 35.74°, rel. 28.6
- 2θ = 45.28°, rel. 31.1
- 2θ = 58.50°, rel. 36.8

Structural model:
```
Ho2SiO4
1.0
6.0459 0.0000 0.0000
0.0000 6.6636 0.0000
-4.5717 0.0000 8.9601
Ho Si O
8 4 16
direct
0.0640 0.0715 0.2192
0.0640 0.4285 0.7192
0.2875 0.6264 0.0710
0.2875 0.8736 0.5710
0.7125 0.1264 0.4290
0.7125 0.3736 0.9290
0.9360 0.5715 0.2808
0.9360 0.9285 0.7808
0.4208 0.1677 0.1123
0.4208 0.3323 0.6123
0.5792 0.6677 0.3877
0.5792 0.8323 0.8877
0.0620 0.1044 0.6346
0.0620 0.3956 0.1346
0.2596 0.5377 0.5136
0.2596 0.9622 0.0136
0.2661 0.7497 0.2813
0.2661 0.7503 0.7813
0.3493 0.1706 0.4663
0.3493 0.3294 0.9663
0.6507 0.6706 0.0337
0.6507 0.8294 0.5337
0.7339 0.2497 0.2187
0.7339 0.2503 0.7187
0.7404 0.0378 0.9864
0.7404 0.4622 0.4864
0.9380 0.6044 0.8654
0.9380 0.8956 0.3654
```

No. 5
Diffraction record for Zr2Te2IBr. The powder X-ray diffraction pattern is simulated, not measured: it uses DFT lattice parameters and positions (GGA-PBE) and CuKα.
Intensities are scaled so that the largest is 100.

The 10 most intense peaks (2θ = 5–70°), low angle first:
- 2θ = 12.16°, rel. 55.1
- 2θ = 14.70°, rel. 28.8
- 2θ = 22.64°, rel. 100.0
- 2θ = 27.65°, rel. 44.6
- 2θ = 32.42°, rel. 59.2
- 2θ = 33.97°, rel. 49.7
- 2θ = 34.22°, rel. 33.4
- 2θ = 39.32°, rel. 36.1
- 2θ = 40.60°, rel. 34.7
- 2θ = 45.02°, rel. 29.0

Structural model:
```
Zr2Te2IBr
1.0
6.9181 -2.2914 0.0000
6.9181 2.2914 0.0000
-2.8115 0.0000 7.2760
Zr Te I Br
2 2 1 1
direct
0.0000 0.0000 0.0000
0.7037 0.7037 0.0802
0.2023 0.2023 0.2867
0.5005 0.5005 0.7927
0.9341 0.9341 0.3092
0.7786 0.7786 0.8097
```

No. 6
Diffraction record for Nd3AlO6. The powder X-ray diffraction pattern is simulated, not measured: it uses DFT lattice parameters and positions (GGA-PBE) and CuKα.
Intensities are scaled so that the largest is 100.

The 10 most intense peaks (2θ = 5–70°), low angle first:
- 2θ = 20.27°, rel. 28.4
- 2θ = 29.72°, rel. 100.0
- 2θ = 30.03°, rel. 39.4
- 2θ = 30.28°, rel. 21.9
- 2θ = 32.33°, rel. 18.8
- 2θ = 44.89°, rel. 27.9
- 2θ = 45.54°, rel. 22.1
- 2θ = 49.70°, rel. 19.5
- 2θ = 58.26°, rel. 16.6
- 2θ = 60.57°, rel. 16.9

Structural model:
```
Nd3AlO6
1.0
4.5820 -5.7351 0.0000
4.5820 5.7351 0.0000
0.0000 0.0000 5.5373
Nd Al O
6 2 12
direct
0.1051 0.8949 0.5000
0.2013 0.4154 0.5428
0.4154 0.2013 0.0428
0.5846 0.7987 0.5428
0.7987 0.5846 0.0428
0.8949 0.1051 0.0000
0.3071 0.6929 0.0804
0.6929 0.3071 0.5804
0.0909 0.6083 0.2353
0.1465 0.1721 0.2732
0.1721 0.1465 0.7732
0.2859 0.7141 0.7630
0.3917 0.9091 0.2353
0.4533 0.5467 0.1978
0.5467 0.4533 0.6978
0.6083 0.0909 0.7353
0.7141 0.2859 0.2630
0.8279 0.8535 0.2732
0.8535 0.8279 0.7732
0.9091 0.3917 0.7353
```

No. 7
Diffraction record for Ba2InSn3Ir2. The powder X-ray diffraction pattern is simulated, not measured: it uses DFT lattice parameters and positions (GGA-PBE) and CuKα.
Intensities are scaled so that the largest is 100.

The 10 most intense peaks (2θ = 5–70°), low angle first:
- 2θ = 14.42°, rel. 58.3
- 2θ = 29.62°, rel. 26.3
- 2θ = 31.24°, rel. 100.0
- 2θ = 31.34°, rel. 29.0
- 2θ = 31.79°, rel. 78.3
- 2θ = 37.54°, rel. 19.3
- 2θ = 40.46°, rel. 42.5
- 2θ = 40.70°, rel. 53.5
- 2θ = 52.01°, rel. 27.9
- 2θ = 56.34°, rel. 21.6

Structural model:
```
Ba2InSn3Ir2
1.0
6.1422 -2.2294 0.0000
6.1422 2.2294 0.0000
-0.0423 0.0000 7.8361
Ba In Sn Ir
2 1 3 2
direct
0.0000 0.0000 0.0000
0.1095 0.1095 0.5019
0.7169 0.7169 0.1970
0.3872 0.3872 0.3016
0.3923 0.3923 0.6935
0.7193 0.7193 0.8062
0.2754 0.2754 0.9929
0.8366 0.8366 0.5041
```

No. 8
Diffraction record for Cu6Ag6Sb4TeS12. The powder X-ray diffraction pattern is simulated, not measured: it uses DFT lattice parameters and positions (GGA-PBE) and CuKα.
Intensities are scaled so that the largest is 100.

The 10 most intense peaks (2θ = 5–70°), low angle first:
- 2θ = 11.51°, rel. 11.1
- 2θ = 25.91°, rel. 10.7
- 2θ = 28.44°, rel. 100.0
- 2θ = 30.77°, rel. 10.9
- 2θ = 32.95°, rel. 35.6
- 2θ = 35.01°, rel. 15.3
- 2θ = 42.39°, rel. 14.5
- 2θ = 47.29°, rel. 61.6
- 2θ = 56.11°, rel. 31.5
- 2θ = 69.12°, rel. 7.6

Structural model:
```
Cu6Ag6Sb4TeS12
1.0
-5.4362 5.4362 5.4362
5.4362 -5.4362 5.4362
5.4362 5.4362 -5.4362
Cu Ag Sb Te S
6 6 4 1 12
direct
0.2500 0.5000 0.7500
0.2500 0.7500 0.5000
0.5000 0.2500 0.7500
0.5000 0.7500 0.2500
0.7500 0.2500 0.5000
0.7500 0.5000 0.2500
0.0000 0.2517 0.2517
0.0000 0.7483 0.7483
0.2517 0.0000 0.2517
0.2517 0.2517 0.0000
0.7483 0.0000 0.7483
0.7483 0.7483 0.0000
0.0000 0.0000 0.5514
0.0000 0.5514 0.0000
0.4486 0.4486 0.4486
0.5514 0.0000 0.0000
0.0000 0.0000 0.0000
0.0000 0.2511 0.5130
0.0000 0.5130 0.2511
0.2511 0.0000 0.5130
0.2511 0.5130 0.0000
0.2619 0.7489 0.7489
0.4870 0.4870 0.7381
0.4870 0.7381 0.4870
0.5130 0.0000 0.2511
0.5130 0.2511 0.0000
0.7381 0.4870 0.4870
0.7489 0.2619 0.7489
0.7489 0.7489 0.2619
```

No. 9
Diffraction record for Cu7Ag3. The powder X-ray diffraction pattern is simulated, not measured: it uses DFT lattice parameters and positions (GGA-PBE) and CuKα.
Intensities are scaled so that the largest is 100.

The 10 most intense peaks (2θ = 5–70°), low angle first:
- 2θ = 20.92°, rel. 2.7
- 2θ = 27.78°, rel. 6.7
- 2θ = 29.79°, rel. 3.9
- 2θ = 41.05°, rel. 100.0
- 2θ = 41.17°, rel. 99.3
- 2θ = 47.48°, rel. 32.1
- 2θ = 47.65°, rel. 1.4
- 2θ = 48.01°, rel. 61.3
- 2θ = 69.77°, rel. 18.5
- 2θ = 69.88°, rel. 18.4

Structural model:
```
Cu7Ag3
1.0
4.6542 0.0000 0.0000
-0.8020 4.5976 0.0000
-1.5513 -2.5545 6.4270
Cu Ag
7 3
direct
0.0000 0.0000 0.0000
0.0742 0.1789 0.6874
0.1927 0.3816 0.3869
0.2894 0.5795 0.0992
0.4853 0.9885 0.4868
0.5749 0.1819 0.1987
0.7723 0.5719 0.5809
0.3676 0.7766 0.7859
0.6940 0.3826 0.8893
0.8895 0.7902 0.2978
```

No. 10
Diffraction record for TlPtAu3O4. The powder X-ray diffraction pattern is simulated, not measured: it uses DFT lattice parameters and positions (GGA-PBE) and CuKα.
Intensities are scaled so that the largest is 100.

The 10 most intense peaks (2θ = 5–70°), low angle first:
- 2θ = 16.53°, rel. 21.0
- 2θ = 23.46°, rel. 21.7
- 2θ = 28.84°, rel. 84.6
- 2θ = 33.42°, rel. 100.0
- 2θ = 37.51°, rel. 13.6
- 2θ = 41.24°, rel. 9.9
- 2θ = 47.99°, rel. 94.8
- 2θ = 51.11°, rel. 6.5
- 2θ = 56.96°, rel. 38.6
- 2θ = 59.75°, rel. 26.8

Structural model:
```
TlPtAu3O4
1.0
5.3617 0.0000 0.0000
0.0000 5.3617 0.0000
0.0000 0.0000 5.3617
Tl Pt Au O
1 1 3 4
direct
0.0000 0.0000 0.0000
0.5000 0.5000 0.5000
0.0000 0.5000 0.5000
0.5000 0.0000 0.5000
0.5000 0.5000 0.0000
0.2322 0.2322 0.2322
0.2322 0.7678 0.7678
0.7678 0.2322 0.7678
0.7678 0.7678 0.2322
```

No. 11
Diffraction record for Sm2Zn17. The powder X-ray diffraction pattern is simulated, not measured: it uses DFT lattice parameters and positions (GGA-PBE) and CuKα.
Intensities are scaled so that the largest is 100.

The 10 most intense peaks (2θ = 5–70°), low angle first:
- 2θ = 28.44°, rel. 26.5
- 2θ = 34.59°, rel. 38.5
- 2θ = 38.51°, rel. 38.5
- 2θ = 40.16°, rel. 60.3
- 2θ = 40.41°, rel. 100.0
- 2θ = 41.15°, rel. 33.0
- 2θ = 43.65°, rel. 13.1
- 2θ = 45.37°, rel. 30.7
- 2θ = 58.86°, rel. 15.9
- 2θ = 65.93°, rel. 15.7

Structural model:
```
Sm2Zn17
1.0
8.9817 0.0000 0.0000
-4.4908 7.7784 0.0000
0.0000 0.0000 8.7739
Sm Zn
4 34
direct
0.0000 0.0000 0.2500
0.0000 0.0000 0.7500
0.3333 0.6667 0.2500
0.6667 0.3333 0.7500
0.0000 0.5000 0.0000
0.0000 0.5000 0.5000
0.0400 0.3693 0.7500
0.0400 0.6708 0.7500
0.1618 0.3237 0.0209
0.1618 0.3237 0.4791
0.1618 0.8382 0.0209
0.1618 0.8382 0.4791
0.3237 0.1618 0.5209
0.3237 0.1618 0.9791
0.3292 0.3693 0.7500
0.3292 0.9600 0.7500
0.3333 0.6667 0.6020
0.3333 0.6667 0.8980
0.3693 0.0400 0.2500
0.3693 0.3292 0.2500
0.5000 0.0000 0.0000
0.5000 0.0000 0.5000
0.5000 0.5000 0.0000
0.5000 0.5000 0.5000
0.6307 0.6708 0.7500
0.6307 0.9600 0.7500
0.6667 0.3333 0.1020
0.6667 0.3333 0.3980
0.6708 0.0400 0.2500
0.6708 0.6307 0.2500
0.6763 0.8382 0.0209
0.6763 0.8382 0.4791
0.8382 0.1618 0.5209
0.8382 0.1618 0.9791
0.8382 0.6763 0.5209
0.8382 0.6763 0.9791
0.9600 0.3292 0.2500
0.9600 0.6307 0.2500
```